Structure and simulated X-ray diffraction stick pattern of Nd5SmY8 (a cell relaxed with GGA-PBE; λ = 1.5418 Å (Cu Kα)).
Lines closer than 0.1° are merged.

The 10 most intense peaks (10 to 90 degrees two-theta), low angle first:
- 2θ = 22.32°, I = 30
- 2θ = 27.71°, I = 63
- 2θ = 29.05°, I = 74
- 2θ = 29.21°, I = 83
- 2θ = 31.47°, I = 22
- 2θ = 33.44°, I = 100
- 2θ = 34.16°, I = 45
- 2θ = 34.58°, I = 53
- 2θ = 41.79°, I = 23
- 2θ = 62.29°, I = 24

Crystal structure
```
14
Lattice="-4.834 4.834 5.121 4.834 -4.834 5.121 4.834 4.834 -5.121" Properties=species:S:1:pos:R:3 pbc="T T T"
Nd 0.000 0.000 0.000
Nd 2.069 -1.063 4.333
Nd 3.771 2.765 0.789
Nd 2.765 5.897 -0.789
Nd 1.063 2.069 5.910
Sm 0.000 4.834 2.561
Y 3.131 -0.696 1.003
Y 4.027 3.126 -2.597
Y 6.537 0.696 1.003
Y 5.529 -1.703 4.119
Y 0.807 1.708 2.524
Y 4.138 1.703 4.119
Y 1.708 -0.807 7.719
Y 3.126 5.640 2.597
```